Entry 1:
The following is a simulated powder diffractogram of Ac6In2Pt. It was derived from a structure optimized by DFT (PBE), using CuKα.
Intensities are scaled so that the largest is 100.

Most intense lines, 5 to 70 degrees two-theta, sorted by position:
2θ (°)  I/Imax  index
24.5  38  1 2 -2
25.4  45  0 2 2
27.1  47  2 1 -2
27.8  41  1 0 2
28.3  51  1 2 1
28.5  79  2 1 -3
29.6  33  1 1 -4
31.7  100  1 3 -1
46.5  53  2 3 1
46.7  43  0 4 3

Atomic structure:
Cell: 7.034 9.249 12.818 Å, 90.00 122.82 90.00°
Space group P2_1/c (No. 14)
Symmetry-distinct sites (fractional):
Ac 0.073 0.182 0.443 x4
Ac 0.308 0.673 0.443 x4
Ac 0.376 0.032 0.263 x4
In 0.178 0.119 0.748 x4
Pt 0.000 0.000 0.000 x2

Entry 2:
The following is a simulated powder diffractogram of AcIn6Pt2. It was derived from a structure optimized by DFT (PBE), using CuKα.
Intensities are scaled so that the largest is 100.

Most intense lines, 5 to 70 degrees two-theta, sorted by position:
2θ (°)  I/Imax  index
22.7  67  3 1 1
23.7  22  2 2 2
27.4  22  4 0 0
35.9  22  3 3 3
39.2  100  4 4 0
45.7  11  5 3 3
46.3  12  6 2 2
54.1  27  7 3 1
56.6  16  8 0 0
61.7  9  7 5 1

Atomic structure:
Cell: 13.013 13.013 13.013 Å, 90.00 90.00 90.00°
Space group Fd-3m (No. 227, origin choice 2)
Symmetry-distinct sites (fractional):
Ac 0.125 0.125 0.125 x8
In 0.108 0.375 0.875 x48
Pt 0.000 0.000 0.500 x16

Entry 3:
The following is a simulated powder diffractogram of AcIn6Pt3. It was derived from a structure optimized by DFT (PBE), using CuKα.
Intensities are scaled so that the largest is 100.

Most intense lines, 5 to 70 degrees two-theta, sorted by position:
2θ (°)  I/Imax  index
26.5  43  2 1 0
28.3  63  2 1 1
32.4  44  2 1 2
33.2  97  3 1 0
37.4  60  2 0 -4
38.2  50  2 1 3
40.3  100  0 2 0
41.2  42  4 1 -1
41.6  56  1 1 4
56.2  37  2 2 -4

Atomic structure:
Cell: 10.200 4.479 10.480 Å, 90.00 94.52 90.00°
Space group P2_1/m (No. 11)
Symmetry-distinct sites (fractional):
Ac 0.089 0.250 0.234 x2
In 0.117 0.750 0.490 x2
In 0.146 0.250 0.925 x2
In 0.273 0.750 0.761 x2
In 0.344 0.750 0.295 x2
In 0.361 0.250 0.559 x2
In 0.445 0.250 0.082 x2
Pt 0.121 0.250 0.659 x2
Pt 0.286 0.750 0.028 x2
Pt 0.492 0.250 0.345 x2